# 1
For Ce3Ge2Au4, a PBE-relaxed structure gives the simulated X-ray diffraction stick pattern in this record (Cu Kα (weighted mean of Kα1 and Kα2)).
Kinematic intensities with the Lorentz-polarization factor, no thermal factor.

Cell and atoms:
```
data_Ce3Ge2Au4
_space_group_name_H-M_alt 'C 1 2/m 1'
_space_group_IT_number 12
_cell_length_a 10.925
_cell_length_b 4.605
_cell_length_c 8.836
_cell_angle_alpha 90.00
_cell_angle_beta 113.16
_cell_angle_gamma 90.00
loop_
_space_group_symop_operation_xyz
'x,y,z'
'-x,-y,-z'
'-x,y,-z'
'x,-y,z'
'x+1/2,y+1/2,z'
'-x+1/2,-y+1/2,-z'
'-x+1/2,y+1/2,-z'
'x+1/2,-y+1/2,z'
loop_
_atom_site_label
_atom_site_type_symbol
_atom_site_fract_x
_atom_site_fract_y
_atom_site_fract_z
Ce1 Ce 0.000 0.000 0.000
Ce2 Ce 0.162 0.500 0.672
Ge1 Ge 0.115 0.500 0.284
Au1 Au 0.068 0.000 0.396
Au2 Au 0.213 0.500 0.057
```

Largest 6 diffraction maxima, low angle first, 2θ = 10–80°:
(hkl)	2θ (°)	I (rel.)
2 0 1	24.22	14.6
4 0 -1	32.93	19.8
1 1 2	33.11	100.0
3 1 -3	38.84	60.3
0 2 0	39.12	30.2
1 1 5	64.90	26.1

# 2
For Ac2Ni3, a PBE-relaxed structure gives the simulated X-ray diffraction stick pattern in this record (Cu Kα (weighted mean of Kα1 and Kα2)).
Kinematic intensities with the Lorentz-polarization factor, no thermal factor.

Cell and atoms:
```
data_Ac2Ni3
_space_group_name_H-M_alt 'I m m m'
_space_group_IT_number 71
_space_group_name_Hall '-I 2 2'
_cell_length_a 4.481
_cell_length_b 5.278
_cell_length_c 9.005
_cell_angle_alpha 90.00
_cell_angle_beta 90.00
_cell_angle_gamma 90.00
loop_
_atom_site_label
_atom_site_type_symbol
_atom_site_fract_x
_atom_site_fract_y
_atom_site_fract_z
Ac1 Ac 0.000 0.000 0.189
Ni1 Ni 0.000 0.233 0.500
Ni2 Ni 0.000 0.500 0.000
```

Largest 6 diffraction maxima, low angle first, 2θ = 10–80°:
(hkl)	2θ (°)	I (rel.)
1 1 0	26.09	98.8
1 1 2	32.91	100.0
0 1 3	34.37	75.0
1 0 3	36.01	62.4
2 0 0	40.26	42.9
1 2 1	40.93	51.1